Li7Mn5O12: computed powder XRD pattern (Cu Kα, 1.54184 Å), based on a GGA+U-relaxed structure.
Neutral-atom scattering factors, no anomalous dispersion.

Peak list (10 most intense, 2θ from 5° to 70°, by angle)
2θ/deg, I (rel.)
17.57, 81.2
21.41, 100.0
29.69, 41.2
35.02, 26.8
36.31, 29.4
39.21, 32.6
41.06, 24.9
43.10, 29.6
46.18, 25.7
48.49, 25.4

Crystal structure
```
data_Li7Mn5O12
_chemical_formula_sum 'Li7 Mn5 O12'
_cell_length_a 5.774
_cell_length_b 5.850
_cell_length_c 7.521
_cell_angle_alpha 81.10
_cell_angle_beta 86.30
_cell_angle_gamma 60.88
_space_group_name_H-M_alt 'P -1'
_space_group_IT_number 2
loop_
_space_group_symop_operation_xyz
'x,y,z'
'-x,-y,-z'
loop_
_atom_site_label
_atom_site_fract_x
_atom_site_fract_y
_atom_site_fract_z
Li1 0.000 0.000 0.000
Li2 0.000 0.500 0.000
Li3 0.434 0.121 0.651
Li4 0.439 0.618 0.669
Li5 0.500 0.500 0.000
Mn1 0.065 0.890 0.328
Mn2 0.068 0.384 0.327
Mn3 0.500 0.000 0.000
O1 0.099 0.755 0.801
O2 0.122 0.213 0.816
O3 0.218 0.531 0.474
O4 0.232 0.996 0.498
O5 0.360 0.278 0.154
O6 0.367 0.786 0.171
```